# Hf3CuCN
Computed PXRD pattern, λ = 1.5418 Å (Cu Kα). Input: a structure optimized by DFT (PBE).
Peak positions follow from Bragg's law for the DFT cell and can differ from measured ones.

Structural model:
```
data_Hf3CuCN
_symmetry_space_group_name_H-M 'P -3 m 1'
_symmetry_Int_Tables_number 164
_symmetry_space_group_name_Hall '-P 3 2"'
_cell_length_a 3.2462
_cell_length_b 3.2462
_cell_length_c 18.6752
_cell_angle_alpha 90.00
_cell_angle_beta 90.00
_cell_angle_gamma 120.00
loop_
_atom_site_label
_atom_site_fract_x
_atom_site_fract_y
_atom_site_fract_z
Hf1 0.0000 0.0000 0.0000
Hf2 0.0000 0.0000 0.5000
Hf3 0.3333 0.6667 0.1391
Hf4 0.3333 0.6667 0.3603
Cu1 0.0000 0.0000 0.2465
C1 0.3333 0.6667 0.5744
N1 0.3333 0.6667 0.9304
```

Main lines, most intense first (10° ≤ 2θ ≤ 80°):
- hkl 1 0 4, 37.3°, I 100
- hkl 1 0 5, 40.1°, I 44
- hkl 1 0 1, 32.2°, I 44
- hkl 1 1 0, 56.7°, I 33
- hkl 1 1 8, 70.7°, I 25
- hkl 0 0 8, 38.6°, I 21
- hkl 0 1 9, 55.0°, I 20
- hkl 2 0 4, 69.9°, I 16
- hkl 0 0 6, 28.7°, I 14
- hkl 1 0 2, 33.3°, I 14